(1)
Structure and theoretical powder diffraction line list of Rb2InF6 (the PBE geometry in Alexandria; Cu Kα (λ = 1.5418 Å)).
No peak broadening, texture or thermal motion is included.

Largest 10 diffraction maxima, low angle first, 5 to 70 degrees two-theta:
two_theta	Rel. int.	(hkl)
18.46	41.7	1 0 1
24.60	84.1	1 0 2
27.76	100.0	1 1 0
32.47	31.0	1 0 3
33.61	32.1	1 1 2
37.43	81.0	2 0 2
43.23	30.6	2 0 3
47.23	28.5	2 1 2
49.10	20.4	3 0 0
57.34	29.8	2 2 0

Atomic structure:
Unit cell a=6.4270 b=6.4270 c=9.5237 alpha=90.00 beta=90.00 gamma=120.00
Positions (direct):
Rb  0.0000  0.0000  0.0000
Rb  0.0000  0.0000  0.5000
Rb  0.3333  0.6667  0.2576
Rb  0.6667  0.3333  0.7576
In  0.3333  0.6667  0.6624
In  0.6667  0.3333  0.1624
F  0.0304  0.5152  0.5288
F  0.1685  0.3371  0.7663
F  0.1685  0.8315  0.7663
F  0.3371  0.1685  0.2663
F  0.4848  0.5152  0.5288
F  0.4848  0.9696  0.5288
F  0.5152  0.0304  0.0288
F  0.5152  0.4848  0.0288
F  0.6629  0.8315  0.7663
F  0.8315  0.1685  0.2663
F  0.8315  0.6629  0.2663
F  0.9696  0.4848  0.0288


(2)
Structure and theoretical powder diffraction line list of Dy4YEr2 (the PBE geometry in Alexandria; Cu Kα (λ = 1.5418 Å)).
No peak broadening, texture or thermal motion is included.

Largest 10 diffraction maxima, low angle first, 5 to 70 degrees two-theta:
two_theta	Rel. int.	(hkl)
29.77	38.4	2 1 1
31.25	56.4	1 -2 0
31.53	100.0	0 1 3
31.80	71.3	1 2 -2
32.49	32.3	2 1 2
33.45	53.1	1 -1 3
33.79	62.7	1 3 1
34.94	28.5	2 0 -1
49.46	21.2	0 4 -2
63.18	17.9	-3 2 1

Atomic structure:
Unit cell a=6.0647 b=8.2879 c=9.4524 alpha=88.63 beta=78.44 gamma=72.59
Positions (direct):
Dy  0.0000  0.0000  0.0000
Dy  0.0055  0.8875  0.3582
Dy  0.1066  0.5583  0.1292
Dy  0.1551  0.4879  0.4969
Dy  0.2538  0.1617  0.2667
Dy  0.2620  0.0500  0.6269
Dy  0.3591  0.6293  0.7786
Dy  0.9024  0.4161  0.8494
Y  0.5966  0.6871  0.4236
Y  0.8051  0.8393  0.7176
Er  0.4571  0.2103  0.9105
Er  0.5415  0.7830  0.0729
Er  0.6635  0.3596  0.2016
Er  0.7194  0.2645  0.5533